# CdSe2O9
Theoretical powder X-ray diffraction pattern, Cu Kα (weighted mean of Kα1 and Kα2). Input: a crystal structure in the Materials Project, relaxed with GGA-PBE.
Lines closer than 0.1° are merged.

a = 8.330 Å, b = 5.423 Å, c = 21.171 Å
α = 90.00°, β = 107.37°, γ = 90.00°
Fractional coordinates of all 48 atoms:
Cd: 0.245 0.230 0.489
Cd: 0.245 0.270 0.989
Cd: 0.755 0.730 0.011
Cd: 0.755 0.770 0.511
Se: 0.016 0.211 0.114
Se: 0.016 0.289 0.614
Se: 0.374 0.705 0.880
Se: 0.374 0.795 0.380
Se: 0.626 0.205 0.620
Se: 0.626 0.295 0.120
Se: 0.984 0.711 0.386
Se: 0.984 0.789 0.886
O: 0.036 0.076 0.913
O: 0.036 0.424 0.413
O: 0.091 0.139 0.560
O: 0.091 0.361 0.060
O: 0.182 0.219 0.288
O: 0.182 0.281 0.788
O: 0.218 0.623 0.920
O: 0.218 0.877 0.420
O: 0.293 0.206 0.758
O: 0.293 0.294 0.258
O: 0.394 0.566 0.542
O: 0.394 0.934 0.042
O: 0.441 0.051 0.927
O: 0.441 0.449 0.427
O: 0.452 0.247 0.288
O: 0.452 0.253 0.788
O: 0.457 0.062 0.574
O: 0.457 0.438 0.074
O: 0.543 0.562 0.926
O: 0.543 0.938 0.426
O: 0.548 0.747 0.212
O: 0.548 0.753 0.712
O: 0.559 0.551 0.573
O: 0.559 0.949 0.073
O: 0.606 0.066 0.958
O: 0.606 0.434 0.458
O: 0.707 0.706 0.742
O: 0.707 0.794 0.242
O: 0.782 0.123 0.580
O: 0.782 0.377 0.080
O: 0.818 0.719 0.212
O: 0.818 0.781 0.712
O: 0.909 0.639 0.940
O: 0.909 0.861 0.440
O: 0.964 0.576 0.587
O: 0.964 0.924 0.087

Main lines, by angle (2θ = 10–90°):
18.6°, I = 1000, hkl 0 1 2
19.8°, I = 528, hkl 1 1 0
24.0°, I = 706, hkl 2 0 -4
24.2°, I = 903, hkl 1 1 -4
28.8°, I = 813, hkl 1 1 4
29.2°, I = 994, hkl 2 0 -6
31.3°, I = 804, hkl 0 1 6
36.4°, I = 523, hkl 3 1 -2